Diffraction record for La3Zn2Hg2. The X-ray diffraction stick pattern is computed, not measured: it uses a cell relaxed with GGA-PBE and copper Kα.
Intensities are scaled so that the largest is 100.

Top 10 peaks for 2θ = 5–70°, by intensity:
- 2θ = 34.79°, intensity 100.0
- 2θ = 28.78°, intensity 92.7
- 2θ = 37.20°, intensity 41.0
- 2θ = 45.76°, intensity 26.4
- 2θ = 58.74°, intensity 25.3
- 2θ = 22.42°, intensity 20.0
- 2θ = 62.38°, intensity 18.4
- 2θ = 63.96°, intensity 16.8
- 2θ = 65.06°, intensity 15.9
- 2θ = 51.85°, intensity 15.8

a b c (Å): 5.1569 5.1569 8.6241
angles (deg): 90.00 90.00 120.00
Space group P-3m1 (No. 164)
Unique sites:
La  0.0000  0.0000  0.0000 [1 per cell]
La  0.3333  0.6667  0.3641 [2 per cell]
Zn  0.0000  0.0000  0.3534 [2 per cell]
Hg  0.3333  0.6667  0.7945 [2 per cell]